Calculated PXRD pattern
Compound: LiVO2F2
Radiation: Cu Kα
Structure: the PBE+U geometry in the Materials Project
No peak broadening, texture or thermal motion is included.

Crystal structure
Cell: 7.5525 5.0164 7.4706 Å, 90.00 102.61 90.00°
Space group P2_1/c (No. 14)
Asymmetric unit:
Li1 0.1282 0.2449 0.3653 [4 per cell]
V1 0.2927 0.7399 0.6838 [4 per cell]
O1 0.1161 0.5646 0.2026 [4 per cell]
O2 0.1899 0.0345 0.0947 [4 per cell]
F1 0.3165 0.6111 0.9450 [4 per cell]
F2 0.4608 0.0724 0.7840 [4 per cell]

Principal peaks in the range 2θ = 10–90°, in order of falling intensity:
21.4 deg, intensity 100.0, hkl 1 1 0; 53.5 deg, intensity 30.6, hkl 2 2 2; 24.2 deg, intensity 29.9, hkl 2 0 0; 24.8 deg, intensity 29.8, hkl 1 0 -2; 24.4 deg, intensity 23.9, hkl 0 0 2; 12.0 deg, intensity 18.9, hkl 1 0 0; 30.3 deg, intensity 18.8, hkl 0 1 2; 40.7 deg, intensity 17.5, hkl 1 1 -3; 40.3 deg, intensity 17.1, hkl 3 1 -1; 40.8 deg, intensity 14.1, hkl 1 2 1



Calculated PXRD pattern
Compound: Li2MnSnO4
Radiation: Cu Kα
Structure: the PBE+U geometry in the Materials Project
No peak broadening, texture or thermal motion is included.

Crystal structure
Cell: 4.2729 4.2729 9.4698 Å, 90.00 90.00 90.00°
Space group I-4m2 (No. 119)
Asymmetric unit:
Li1 0.0000 0.0000 0.0000 [2 per cell]
Li2 0.0000 0.5000 0.2500 [2 per cell]
Mn1 0.0000 0.5000 0.7500 [2 per cell]
Sn1 0.0000 0.0000 0.5000 [2 per cell]
O1 0.0000 0.0000 0.2839 [4 per cell]
O2 0.0000 0.5000 0.5059 [4 per cell]

Principal peaks in the range 2θ = 10–90°, in order of falling intensity:
22.8 deg, intensity 100.0, hkl 1 0 1; 42.3 deg, intensity 34.6, hkl 2 0 0; 35.2 deg, intensity 28.4, hkl 1 1 2; 48.6 deg, intensity 26.5, hkl 2 1 1; 58.2 deg, intensity 23.1, hkl 2 0 4; 38.0 deg, intensity 21.8, hkl 0 0 4; 35.4 deg, intensity 21.1, hkl 1 0 3; 52.9 deg, intensity 13.4, hkl 1 0 5; 56.3 deg, intensity 11.9, hkl 2 1 3; 72.8 deg, intensity 11.9, hkl 3 1 2



Calculated PXRD pattern
Compound: Mg14ZnCoO16
Radiation: Cu Kα
Structure: the PBE+U geometry in the Materials Project
No peak broadening, texture or thermal motion is included.

Crystal structure
Cell: 8.5409 8.5409 4.2459 Å, 90.00 90.00 90.00°
Space group P4/mmm (No. 123)
Asymmetric unit:
Mg1 0.0000 0.2503 0.0000 [4 per cell]
Mg2 0.0000 0.5000 0.5000 [2 per cell]
Mg3 0.2495 0.2495 0.5000 [4 per cell]
Mg4 0.2497 0.5000 0.0000 [4 per cell]
Zn1 0.5000 0.5000 0.5000 [1 per cell]
Co1 0.0000 0.0000 0.5000 [1 per cell]
O1 0.0000 0.0000 0.0000 [1 per cell]
O2 0.0000 0.2529 0.5000 [4 per cell]
O3 0.0000 0.5000 0.0000 [2 per cell]
O4 0.2464 0.5000 0.5000 [4 per cell]
O5 0.2497 0.2497 0.0000 [4 per cell]
O6 0.5000 0.5000 0.0000 [1 per cell]

Principal peaks in the range 2θ = 10–90°, in order of falling intensity:
42.3 deg, intensity 100.0, hkl 4 0 0; 61.6 deg, intensity 56.1, hkl 4 0 2; 42.6 deg, intensity 49.1, hkl 0 0 2; 36.5 deg, intensity 29.3, hkl 2 2 1; 61.4 deg, intensity 28.4, hkl 4 4 0; 77.6 deg, intensity 25.6, hkl 4 4 2; 14.7 deg, intensity 15.5, hkl 1 1 0; 73.6 deg, intensity 10.9, hkl 6 2 1; 29.6 deg, intensity 9.9, hkl 2 2 0; 25.6 deg, intensity 8.9, hkl 1 1 1



Calculated PXRD pattern
Compound: LiAlVO4
Radiation: Cu Kα
Structure: the PBE+U geometry in the Materials Project
No peak broadening, texture or thermal motion is included.

Crystal structure
Cell: 9.4356 2.9160 10.1639 Å, 90.00 90.00 90.00°
Space group Pnma (No. 62)
Asymmetric unit:
Li1 0.0932 0.2500 0.1209 [4 per cell]
Al1 0.0052 0.2500 0.6240 [4 per cell]
V1 0.2288 0.7500 0.8435 [4 per cell]
O1 0.1009 0.2500 0.4603 [4 per cell]
O2 0.1025 0.7500 0.7026 [4 per cell]
O3 0.1413 0.2500 0.9356 [4 per cell]
O4 0.1475 0.7500 0.2542 [4 per cell]

Principal peaks in the range 2θ = 10–90°, in order of falling intensity:
19.8 deg, intensity 100.0, hkl 1 0 2; 12.8 deg, intensity 44.7, hkl 1 0 1; 40.5 deg, intensity 36.0, hkl 2 1 2; 37.3 deg, intensity 29.3, hkl 2 1 1; 50.5 deg, intensity 23.3, hkl 3 1 3; 33.5 deg, intensity 19.4, hkl 3 0 2; 58.7 deg, intensity 18.9, hkl 2 1 5; 29.7 deg, intensity 17.9, hkl 3 0 1; 45.9 deg, intensity 15.1, hkl 3 0 4; 17.5 deg, intensity 13.8, hkl 0 0 2



Calculated PXRD pattern
Compound: LiV2C4O12
Radiation: Cu Kα
Structure: the PBE+U geometry in the Materials Project
No peak broadening, texture or thermal motion is included.

Crystal structure
Cell: 4.7377 5.8683 7.5452 Å, 73.32 89.58 89.16°
Space group P-1 (No. 2)
Asymmetric unit:
Li1 0.0000 0.0000 0.0000 [1 per cell]
V1 0.0000 0.0000 0.5000 [1 per cell]
V2 0.5000 0.5000 0.0000 [1 per cell]
C1 0.0097 0.4808 0.2388 [2 per cell]
C2 0.4939 0.9871 0.7377 [2 per cell]
O1 0.1007 0.6768 0.6182 [2 per cell]
O2 0.1527 0.3815 0.8834 [2 per cell]
O3 0.2299 0.9987 0.2735 [2 per cell]
O4 0.2790 0.4944 0.2270 [2 per cell]
O5 0.3410 0.1094 0.6033 [2 per cell]
O6 0.3781 0.8521 0.8862 [2 per cell]

Principal peaks in the range 2θ = 10–90°, in order of falling intensity:
17.0 deg, intensity 100.0, hkl 0 1 1; 31.8 deg, intensity 80.0, hkl -1 1 2; 22.4 deg, intensity 55.3, hkl 1 0 1; 31.4 deg, intensity 41.4, hkl 1 1 2; 22.7 deg, intensity 28.7, hkl 0 1 -1; 41.6 deg, intensity 24.4, hkl 2 1 1; 42.1 deg, intensity 23.8, hkl 1 0 -3; 42.4 deg, intensity 22.1, hkl 1 -2 1; 51.7 deg, intensity 14.4, hkl 2 2 2; 34.3 deg, intensity 12.4, hkl 0 2 2



Calculated PXRD pattern
Compound: SrMoO3
Radiation: Cu Kα
Structure: the PBE+U geometry in the Materials Project
No peak broadening, texture or thermal motion is included.

Crystal structure
Cell: 5.7328 5.7427 5.7441 Å, 90.48 119.22 119.84°
Space group P-1 (No. 2)
Asymmetric unit:
Sr1 0.0100 0.2566 0.2574 [2 per cell]
Mo1 0.5000 0.0000 0.5000 [1 per cell]
Mo2 0.5000 0.5000 0.0000 [1 per cell]
O1 0.0102 0.7083 0.3042 [2 per cell]
O2 0.4076 0.1825 0.1718 [2 per cell]
O3 0.4974 0.2794 0.7177 [2 per cell]

Principal peaks in the range 2θ = 10–90°, in order of falling intensity:
31.1 deg, intensity 100.0, hkl 1 1 -1; 30.8 deg, intensity 36.3, hkl 1 -1 1; 31.2 deg, intensity 32.7, hkl -2 1 1; 31.0 deg, intensity 30.8, hkl 0 1 1; 44.8 deg, intensity 21.7, hkl -2 2 2; 55.1 deg, intensity 21.6, hkl 2 -3 1; 44.2 deg, intensity 21.2, hkl 2 0 0; 55.5 deg, intensity 20.5, hkl 2 1 -3; 44.4 deg, intensity 20.2, hkl 0 2 -2; 55.4 deg, intensity 14.2, hkl -1 3 1